Record 1
Structure and theoretical PXRD pattern of NiAg (DFT lattice parameters and positions (PBE); λ = 1.5418 Å (Cu Kα)).
Intensities are scaled so that the largest is 100.

Crystal structure
```
NiAg
1.0
2.7547 0.0000 0.0000
-1.3773 2.3856 0.0000
0.0000 0.0000 8.8744
Ni Ag
2 2
Direct
0.3333 0.6667 0.3972
0.6667 0.3333 0.6028
0.3333 0.6667 0.8561
0.6667 0.3333 0.1439
```

Most intense lines, 2θ from 10° to 90°, in order of falling intensity:
43.05 deg, I 100
37.71 deg, I 26
40.67 deg, I 21
68.07 deg, I 17
82.42 deg, I 15
84.02 deg, I 13
30.21 deg, I 13
56.66 deg, I 12
39.10 deg, I 11
65.55 deg, I 10

=====

Record 2
Structure and theoretical PXRD pattern of Ni5Ag (DFT lattice parameters and positions (PBE); λ = 1.5418 Å (Cu Kα)).
Intensities are scaled so that the largest is 100.

Crystal structure
```
Ni5Ag
1.0
4.7909 -1.3053 0.0000
4.7909 1.3053 0.0000
-1.7067 0.0000 5.8199
Ni Ag
5 1
Direct
0.0000 0.0000 0.0000
0.0450 0.0450 0.6224
0.3441 0.3441 0.6979
0.3961 0.3961 0.2684
0.7214 0.7214 0.9354
0.6768 0.6768 0.3501
```

Most intense lines, 2θ from 10° to 90°, in order of falling intensity:
45.65 deg, I 100
45.88 deg, I 98
42.72 deg, I 72
41.12 deg, I 34
46.38 deg, I 34
40.19 deg, I 34
46.83 deg, I 32
74.29 deg, I 23
87.88 deg, I 16
80.64 deg, I 16

=====

Record 3
Structure and theoretical PXRD pattern of Ni3Ag4 (DFT lattice parameters and positions (PBE); λ = 1.5418 Å (Cu Kα)).
Intensities are scaled so that the largest is 100.

Crystal structure
```
Ni3Ag4
1.0
-1.4060 1.4060 13.1865
1.4060 -1.4060 13.1865
1.4060 1.4060 -13.1865
Ni Ag
3 4
Direct
0.0000 0.0000 0.0000
0.2754 0.2754 0.0000
0.7246 0.7246 0.0000
0.1532 0.1532 0.0000
0.4306 0.4306 0.0000
0.5694 0.5694 0.0000
0.8468 0.8468 0.0000
```

Most intense lines, 2θ from 10° to 90°, in order of falling intensity:
40.01 deg, I 100
45.62 deg, I 38
80.52 deg, I 23
68.63 deg, I 13
66.50 deg, I 11
33.46 deg, I 10
48.31 deg, I 10
86.34 deg, I 7
76.54 deg, I 7
33.99 deg, I 6